(1)
Simulated powder diffraction line list of Mn12O5F19 for Cu Kα X-rays, from the PBE+U geometry in the Materials Project.
Kinematic intensities with the Lorentz-polarization factor, no thermal factor.

Most intense lines, 2θ = 5–70°, in order of rising 2θ:
| 2θ/deg | I/Imax |
| --- | --- |
| 23.55 | 52 |
| 24.25 | 45 |
| 28.93 | 100 |
| 29.46 | 50 |
| 29.57 | 45 |
| 34.91 | 31 |
| 38.48 | 21 |
| 50.94 | 38 |
| 51.07 | 24 |
| 51.29 | 40 |

Cell and atoms:
a = 4.822 Å, b = 5.864 Å, c = 16.053 Å
α = 90.18°, β = 90.14°, γ = 91.70°
Fractional coordinates of all 36 atoms:
Mn1 0.000 0.000 0.000
Mn2 0.000 0.008 0.672
Mn3 0.002 0.013 0.322
Mn4 0.017 0.323 0.832
Mn5 0.034 0.346 0.495
Mn6 0.497 0.823 0.495
Mn7 0.498 0.854 0.818
Mn8 0.501 0.514 0.336
Mn9 0.518 0.528 0.665
Mn10 0.519 0.539 0.997
Mn11 0.541 0.839 0.161
Mn12 0.993 0.321 0.163
O1 0.218 0.055 0.774
O2 0.297 0.582 0.444
O3 0.715 0.807 0.718
O4 0.722 0.790 0.058
O5 0.794 0.058 0.213
F1 0.233 0.299 0.272
F2 0.236 0.274 0.612
F3 0.241 0.298 0.947
F4 0.247 0.066 0.436
F5 0.249 0.073 0.106
F6 0.266 0.785 0.602
F7 0.268 0.557 0.771
F8 0.272 0.567 0.115
F9 0.282 0.797 0.930
F10 0.313 0.807 0.268
F11 0.735 0.577 0.881
F12 0.743 0.561 0.554
F13 0.746 0.553 0.228
F14 0.747 0.798 0.391
F15 0.765 0.071 0.891
F16 0.774 0.297 0.721
F17 0.776 0.048 0.555
F18 0.781 0.299 0.051
F19 0.787 0.285 0.387

=====

(2)
Simulated powder diffraction line list of Mn3O5F for Cu Kα X-rays, from the PBE+U geometry in the Materials Project.
Kinematic intensities with the Lorentz-polarization factor, no thermal factor.

Most intense lines, 2θ = 5–70°, in order of rising 2θ:
| 2θ/deg | I/Imax |
| --- | --- |
| 27.79 | 100 |
| 35.72 | 54 |
| 39.70 | 9 |
| 41.00 | 8 |
| 54.42 | 37 |
| 54.53 | 22 |
| 57.40 | 16 |
| 61.43 | 9 |
| 64.95 | 9 |
| 69.48 | 10 |

Cell and atoms:
a = 5.445 Å, b = 5.449 Å, c = 7.098 Å
α = 72.82°, β = 72.75°, γ = 72.28°
Fractional coordinates of all 18 atoms:
Mn1 0.000 0.000 0.000
Mn2 0.011 0.016 0.497
Mn3 0.334 0.327 0.157
Mn4 0.362 0.310 0.678
Mn5 0.659 0.664 0.843
Mn6 0.682 0.681 0.335
O1 0.114 0.101 0.706
O2 0.234 0.226 0.967
O3 0.307 0.691 0.005
O4 0.370 0.978 0.333
O5 0.575 0.561 0.631
O6 0.655 0.018 0.668
O7 0.695 0.304 0.004
O8 0.776 0.764 0.040
O9 0.913 0.900 0.297
O10 0.982 0.368 0.332
F1 0.045 0.630 0.667
F2 0.444 0.437 0.367

=====

(3)
Simulated powder diffraction line list of Mn3O5F for Cu Kα X-rays, from the PBE+U geometry in the Materials Project.
Kinematic intensities with the Lorentz-polarization factor, no thermal factor.

Most intense lines, 2θ = 5–70°, in order of rising 2θ:
| 2θ/deg | I/Imax |
| --- | --- |
| 27.69 | 100 |
| 35.76 | 53 |
| 39.56 | 9 |
| 41.04 | 16 |
| 54.38 | 59 |
| 57.19 | 16 |
| 61.63 | 9 |
| 64.70 | 9 |
| 68.86 | 11 |
| 69.31 | 20 |

Cell and atoms:
a = 9.029 Å, b = 4.557 Å, c = 4.555 Å
α = 90.00°, β = 90.00°, γ = 90.00°
Fractional coordinates of all 18 atoms:
Mn1 0.000 0.230 0.000
Mn2 0.174 0.754 0.530
Mn3 0.326 0.246 0.030
Mn4 0.500 0.770 0.500
Mn5 0.674 0.246 0.030
Mn6 0.826 0.754 0.530
O1 0.000 0.938 0.709
O2 0.164 0.054 0.216
O3 0.165 0.441 0.828
O4 0.335 0.559 0.328
O5 0.336 0.946 0.716
O6 0.500 0.062 0.209
O7 0.664 0.946 0.716
O8 0.665 0.559 0.328
O9 0.835 0.441 0.828
O10 0.836 0.054 0.216
F1 0.000 0.550 0.321
F2 0.500 0.450 0.821

=====

(4)
Simulated powder diffraction line list of Mn6OF11 for Cu Kα X-rays, from the PBE+U geometry in the Materials Project.
Kinematic intensities with the Lorentz-polarization factor, no thermal factor.

Most intense lines, 2θ = 5–70°, in order of rising 2θ:
| 2θ/deg | I/Imax |
| --- | --- |
| 25.39 | 100 |
| 25.98 | 93 |
| 32.45 | 52 |
| 32.56 | 50 |
| 49.41 | 35 |
| 49.48 | 34 |
| 50.00 | 30 |
| 50.23 | 29 |
| 55.19 | 23 |
| 63.39 | 24 |

Cell and atoms:
a = 4.912 Å, b = 5.932 Å, c = 8.256 Å
α = 87.87°, β = 89.04°, γ = 89.07°
Fractional coordinates of all 18 atoms:
Mn1 0.000 0.000 0.000
Mn2 0.001 0.682 0.315
Mn3 0.029 0.324 0.646
Mn4 0.517 0.830 0.654
Mn5 0.520 0.497 0.986
Mn6 0.535 0.150 0.311
O1 0.808 0.968 0.217
F1 0.207 0.029 0.763
F2 0.211 0.699 0.085
F3 0.234 0.358 0.410
F4 0.325 0.197 0.088
F5 0.325 0.530 0.752
F6 0.327 0.870 0.419
F7 0.711 0.128 0.546
F8 0.714 0.451 0.220
F9 0.718 0.791 0.882
F10 0.823 0.294 0.880
F11 0.829 0.623 0.551

=====

(5)
Simulated powder diffraction line list of Mn3O4F2 for Cu Kα X-rays, from the PBE+U geometry in the Materials Project.
Kinematic intensities with the Lorentz-polarization factor, no thermal factor.

Most intense lines, 2θ = 5–70°, in order of rising 2θ:
| 2θ/deg | I/Imax |
| --- | --- |
| 25.34 | 100 |
| 28.34 | 83 |
| 35.27 | 47 |
| 35.66 | 40 |
| 51.10 | 30 |
| 52.00 | 46 |
| 54.78 | 24 |
| 55.06 | 22 |
| 67.15 | 19 |
| 67.90 | 19 |

Cell and atoms:
a = 5.562 Å, b = 5.562 Å, c = 7.695 Å
α = 111.20°, β = 111.20°, γ = 68.96°
Fractional coordinates of all 18 atoms:
Mn1 0.000 0.000 0.000
Mn2 0.003 0.003 0.479
Mn3 0.343 0.343 0.316
Mn4 0.348 0.348 0.821
Mn5 0.667 0.667 0.669
Mn6 0.680 0.680 0.138
O1 0.036 0.649 0.822
O2 0.308 0.702 0.491
O3 0.370 0.978 0.153
O4 0.573 0.573 0.868
O5 0.649 0.036 0.822
O6 0.702 0.308 0.491
O7 0.902 0.902 0.188
O8 0.978 0.370 0.153
F1 0.117 0.117 0.782
F2 0.229 0.229 0.515
F3 0.460 0.460 0.129
F4 0.774 0.774 0.436

=====

(6)
Simulated powder diffraction line list of Mn3O4F2 for Cu Kα X-rays, from the PBE+U geometry in the Materials Project.
Kinematic intensities with the Lorentz-polarization factor, no thermal factor.

Most intense lines, 2θ = 5–70°, in order of rising 2θ:
| 2θ/deg | I/Imax |
| --- | --- |
| 26.38 | 100 |
| 28.39 | 99 |
| 35.31 | 30 |
| 35.47 | 54 |
| 35.60 | 26 |
| 52.87 | 29 |
| 54.30 | 18 |
| 55.10 | 28 |
| 61.17 | 18 |
| 68.62 | 26 |

Cell and atoms:
a = 5.503 Å, b = 5.523 Å, c = 6.993 Å
α = 74.36°, β = 73.92°, γ = 75.60°
Fractional coordinates of all 18 atoms:
Mn1 0.000 0.000 0.000
Mn2 0.000 0.000 0.500
Mn3 0.309 0.343 0.173
Mn4 0.310 0.359 0.667
Mn5 0.690 0.641 0.333
Mn6 0.691 0.657 0.827
O1 0.034 0.651 0.666
O2 0.090 0.120 0.702
O3 0.220 0.244 0.962
O4 0.430 0.432 0.375
O5 0.570 0.568 0.625
O6 0.780 0.756 0.038
O7 0.910 0.880 0.298
O8 0.966 0.349 0.334
F1 0.330 0.706 0.982
F2 0.390 0.943 0.330
F3 0.610 0.057 0.670
F4 0.670 0.294 0.018

=====

(7)
Simulated powder diffraction line list of Mn3O4F2 for Cu Kα X-rays, from the PBE+U geometry in the Materials Project.
Kinematic intensities with the Lorentz-polarization factor, no thermal factor.

Most intense lines, 2θ = 5–70°, in order of rising 2θ:
| 2θ/deg | I/Imax |
| --- | --- |
| 27.32 | 100 |
| 34.98 | 29 |
| 35.25 | 25 |
| 53.29 | 14 |
| 53.48 | 8 |
| 53.58 | 14 |
| 53.79 | 15 |
| 56.37 | 16 |
| 60.32 | 9 |
| 67.77 | 8 |

Cell and atoms:
a = 5.518 Å, b = 5.574 Å, c = 7.210 Å
α = 72.81°, β = 72.53°, γ = 72.10°
Fractional coordinates of all 18 atoms:
Mn1 0.000 0.000 0.000
Mn2 0.000 0.000 0.500
Mn3 0.355 0.347 0.172
Mn4 0.356 0.302 0.658
Mn5 0.644 0.698 0.342
Mn6 0.645 0.653 0.828
O1 0.107 0.097 0.705
O2 0.306 0.692 0.001
O3 0.355 0.994 0.326
O4 0.442 0.444 0.371
O5 0.558 0.556 0.629
O6 0.645 0.006 0.674
O7 0.694 0.308 0.999
O8 0.893 0.903 0.295
F1 0.027 0.606 0.682
F2 0.244 0.242 0.966
F3 0.756 0.758 0.034
F4 0.973 0.394 0.318

=====

(8)
Simulated powder diffraction line list of Mn12O5F19 for Cu Kα X-rays, from the PBE+U geometry in the Materials Project.
Kinematic intensities with the Lorentz-polarization factor, no thermal factor.

Most intense lines, 2θ = 5–70°, in order of rising 2θ:
| 2θ/deg | I/Imax |
| --- | --- |
| 23.64 | 93 |
| 24.05 | 91 |
| 28.93 | 100 |
| 29.19 | 96 |
| 29.34 | 99 |
| 29.46 | 92 |
| 33.68 | 39 |
| 50.85 | 75 |
| 51.00 | 47 |
| 61.47 | 45 |

Cell and atoms:
a = 4.855 Å, b = 5.834 Å, c = 15.969 Å
α = 89.39°, β = 89.80°, γ = 89.01°
Fractional coordinates of all 36 atoms:
Mn1 0.000 0.000 0.000
Mn2 0.003 0.992 0.331
Mn3 0.469 0.515 0.336
Mn4 0.473 0.827 0.176
Mn5 0.483 0.821 0.838
Mn6 0.490 0.524 0.672
Mn7 0.503 0.513 0.003
Mn8 0.509 0.848 0.507
Mn9 0.942 0.993 0.671
Mn10 0.963 0.329 0.158
Mn11 0.982 0.310 0.508
Mn12 0.994 0.324 0.837
O1 0.270 0.762 0.287
O2 0.287 0.773 0.948
O3 0.682 0.788 0.728
O4 0.765 0.286 0.049
O5 0.772 0.057 0.565
F1 0.187 0.034 0.776
F2 0.213 0.052 0.112
F3 0.213 0.280 0.273
F4 0.218 0.282 0.624
F5 0.223 0.062 0.444
F6 0.244 0.776 0.611
F7 0.247 0.270 0.944
F8 0.256 0.557 0.783
F9 0.258 0.544 0.451
F10 0.270 0.547 0.110
F11 0.716 0.543 0.230
F12 0.720 0.555 0.560
F13 0.724 0.769 0.394
F14 0.726 0.554 0.894
F15 0.732 0.775 0.066
F16 0.742 0.287 0.730
F17 0.743 0.277 0.389
F18 0.763 0.041 0.890
F19 0.763 0.053 0.224

=====

(9)
Simulated powder diffraction line list of Mn6OF11 for Cu Kα X-rays, from the PBE+U geometry in the Materials Project.
Kinematic intensities with the Lorentz-polarization factor, no thermal factor.

Most intense lines, 2θ = 5–70°, in order of rising 2θ:
| 2θ/deg | I/Imax |
| --- | --- |
| 23.27 | 79 |
| 23.61 | 70 |
| 28.57 | 92 |
| 28.61 | 100 |
| 28.77 | 99 |
| 28.98 | 88 |
| 49.72 | 47 |
| 50.03 | 46 |
| 50.66 | 67 |
| 56.40 | 47 |

Cell and atoms:
a = 4.962 Å, b = 5.891 Å, c = 16.236 Å
α = 90.26°, β = 90.33°, γ = 90.83°
Fractional coordinates of all 36 atoms:
Mn1 0.002 0.333 0.416
Mn2 0.009 0.352 0.085
Mn3 0.012 0.668 0.243
Mn4 0.472 0.817 0.084
Mn5 0.493 0.171 0.585
Mn6 0.494 0.167 0.248
Mn7 0.506 0.833 0.752
Mn8 0.507 0.829 0.415
Mn9 0.528 0.183 0.916
Mn10 0.988 0.332 0.757
Mn11 0.991 0.648 0.915
Mn12 0.998 0.667 0.584
O1 0.207 0.589 0.134
O2 0.793 0.411 0.866
F1 0.219 0.389 0.646
F2 0.229 0.620 0.813
F3 0.230 0.385 0.978
F4 0.233 0.605 0.475
F5 0.234 0.394 0.307
F6 0.257 0.103 0.137
F7 0.260 0.875 0.967
F8 0.267 0.895 0.307
F9 0.271 0.105 0.473
F10 0.273 0.891 0.642
F11 0.289 0.117 0.808
F12 0.711 0.883 0.192
F13 0.727 0.109 0.358
F14 0.729 0.895 0.527
F15 0.733 0.105 0.693
F16 0.740 0.125 0.033
F17 0.743 0.897 0.863
F18 0.766 0.606 0.693
F19 0.767 0.395 0.525
F20 0.770 0.615 0.022
F21 0.771 0.380 0.187
F22 0.781 0.611 0.354

=====

(10)
Simulated powder diffraction line list of Mn5O3F5 for Cu Kα X-rays, from the PBE+U geometry in the Materials Project.
Kinematic intensities with the Lorentz-polarization factor, no thermal factor.

Most intense lines, 2θ = 5–70°, in order of rising 2θ:
| 2θ/deg | I/Imax |
| --- | --- |
| 16.87 | 100 |
| 17.14 | 71 |
| 32.20 | 33 |
| 32.88 | 53 |
| 33.03 | 34 |
| 33.26 | 28 |
| 38.86 | 40 |
| 40.20 | 76 |
| 56.69 | 39 |
| 57.61 | 29 |

Cell and atoms:
a = 6.404 Å, b = 6.404 Å, c = 11.330 Å
α = 108.48°, β = 108.48°, γ = 59.64°
Fractional coordinates of all 26 atoms:
Mn1 0.000 0.000 0.000
Mn2 0.138 0.138 0.541
Mn3 0.391 0.901 0.296
Mn4 0.402 0.891 0.797
Mn5 0.412 0.412 0.790
Mn6 0.500 0.500 0.500
Mn7 0.639 0.639 0.040
Mn8 0.891 0.402 0.797
Mn9 0.901 0.391 0.296
Mn10 0.913 0.913 0.292
O1 0.037 0.037 0.189
O2 0.265 0.830 0.427
O3 0.328 0.765 0.928
O4 0.538 0.538 0.689
O5 0.765 0.328 0.928
O6 0.830 0.265 0.427
F1 0.043 0.043 0.677
F2 0.049 0.459 0.661
F3 0.273 0.273 0.884
F4 0.286 0.286 0.417
F5 0.459 0.049 0.661
F6 0.543 0.543 0.176
F7 0.550 0.960 0.162
F8 0.772 0.772 0.384
F9 0.788 0.788 0.916
F10 0.960 0.550 0.162